# 1
Diffraction record for RbAgGeTeSe2. The X-ray powder pattern is computed, not measured: it uses a cell relaxed with PBE and λ = 1.5418 Å (Cu Kα).
Intensities are scaled so that the largest is 100.

The 6 most intense peaks (2θ = 5–70°), most intense first:
two_theta	intensity
29.9	100
10.6	77
31.5	53
49.8	37
37.5	27
28.8	25

Atomic structure:
Lattice parameters (Å, degrees): 8.5683 8.5683 11.3431 90.00 90.00 154.88
Positions (direct):
Rb 0.2445 0.7555 0.7500
Rb 0.7555 0.2445 0.2500
Ag 0.0775 0.9225 0.2500
Ag 0.9225 0.0775 0.7500
Ge 0.5000 0.5000 0.0000
Ge 0.5000 0.5000 0.5000
Te 0.4456 0.5544 0.2500
Te 0.5544 0.4456 0.7500
Se 0.1129 0.8871 0.0300
Se 0.1129 0.8871 0.4700
Se 0.8871 0.1129 0.5300
Se 0.8871 0.1129 0.9700


# 2
Diffraction record for Mg3Pd2S3. The X-ray powder pattern is computed, not measured: it uses a cell relaxed with PBE and λ = 1.5418 Å (Cu Kα).
Intensities are scaled so that the largest is 100.

The 6 most intense peaks (2θ = 5–70°), most intense first:
two_theta	intensity
8.2	100
45.3	53
40.2	49
26.7	44
25.7	37
24.3	32

Atomic structure:
Lattice parameters (Å, degrees): 3.7677 3.6626 10.9752 90.00 99.85 90.00
Positions (direct):
Mg 0.0000 0.0000 0.0000
Mg 0.3850 0.5000 0.7662
Mg 0.6150 0.5000 0.2338
Pd 0.2017 0.5000 0.4059
Pd 0.7983 0.5000 0.5941
S 0.1207 0.0000 0.2466
S 0.5000 0.5000 0.0000
S 0.8793 0.0000 0.7534


# 3
Diffraction record for Pr2ErAg4Sn4. The X-ray powder pattern is computed, not measured: it uses a cell relaxed with PBE and λ = 1.5418 Å (Cu Kα).
Intensities are scaled so that the largest is 100.

The 6 most intense peaks (2θ = 5–70°), most intense first:
two_theta	intensity
31.7	100
32.3	73
38.1	46
42.9	34
31.3	29
34.6	24

Atomic structure:
Lattice parameters (Å, degrees): 8.8868 8.8868 8.8868 149.14 132.04 58.12
Positions (direct):
Pr 0.1282 0.1282 0.0000
Pr 0.8718 0.8718 0.0000
Er 0.5000 0.0000 0.5000
Ag 0.1286 0.3278 0.8008
Ag 0.4730 0.6722 0.8008
Ag 0.5270 0.3278 0.1992
Ag 0.8714 0.6722 0.1992
Sn 0.2032 0.5000 0.7032
Sn 0.2907 0.7907 0.5000
Sn 0.7093 0.2093 0.5000
Sn 0.7968 0.5000 0.2968


# 4
Diffraction record for BeFeSiIr. The X-ray powder pattern is computed, not measured: it uses a cell relaxed with PBE and λ = 1.5418 Å (Cu Kα).
Intensities are scaled so that the largest is 100.

The 6 most intense peaks (2θ = 5–70°), most intense first:
two_theta	intensity
45.9	100
32.0	78
27.6	56
54.4	28
57.1	20
66.9	16

Atomic structure:
Lattice parameters (Å, degrees): 3.9537 3.9537 5.5938 90.00 90.00 90.00
Positions (direct):
Be 0.0000 0.5000 0.2490
Be 0.5000 0.0000 0.7510
Fe 0.0000 0.0000 0.5000
Fe 0.5000 0.5000 0.0000
Si 0.0000 0.5000 0.7497
Si 0.5000 0.0000 0.2503
Ir 0.0000 0.0000 0.0000
Ir 0.5000 0.5000 0.5000


# 5
Diffraction record for LuB4. The X-ray powder pattern is computed, not measured: it uses a cell relaxed with PBE and λ = 1.5418 Å (Cu Kα).
Intensities are scaled so that the largest is 100.

The 6 most intense peaks (2θ = 5–70°), most intense first:
two_theta	intensity
36.5	100
28.4	79
22.5	60
34.2	54
25.4	40
59.1	35

Atomic structure:
Lattice parameters (Å, degrees): 7.0156 7.0156 3.9592 90.00 90.00 90.00
Positions (direct):
Lu 0.1822 0.3178 0.0000
Lu 0.3178 0.8178 0.0000
Lu 0.6822 0.1822 0.0000
Lu 0.8178 0.6822 0.0000
B 0.0000 0.0000 0.2023
B 0.0000 0.0000 0.7977
B 0.0385 0.8227 0.5000
B 0.0867 0.5867 0.5000
B 0.1773 0.0385 0.5000
B 0.3227 0.5385 0.5000
B 0.4133 0.0867 0.5000
B 0.4615 0.3227 0.5000
B 0.5000 0.5000 0.2023
B 0.5000 0.5000 0.7977
B 0.5385 0.6773 0.5000
B 0.5867 0.9133 0.5000
B 0.6773 0.4615 0.5000
B 0.8227 0.9615 0.5000
B 0.9133 0.4133 0.5000
B 0.9615 0.1773 0.5000


# 6
Diffraction record for TbDy2Al3CuGe2. The X-ray powder pattern is computed, not measured: it uses a cell relaxed with PBE and λ = 1.5418 Å (Cu Kα).
Intensities are scaled so that the largest is 100.

The 6 most intense peaks (2θ = 5–70°), most intense first:
two_theta	intensity
33.4	100
36.6	70
25.4	37
59.1	25
39.2	23
21.3	23

Atomic structure:
Lattice parameters (Å, degrees): 4.1736 7.0179 7.0179 120.01 90.00 90.00
Positions (direct):
Tb 0.0000 0.0000 0.0000
Dy 0.0000 0.1940 0.5970
Dy 0.0000 0.5970 0.1940
Al 0.5000 0.3648 0.3648
Al 0.5000 0.5970 0.8292
Al 0.5000 0.8292 0.5970
Cu 0.0000 0.5968 0.5968
Ge 0.5000 0.2638 0.9303
Ge 0.5000 0.9303 0.2638


# 7
Diffraction record for PrSiHO4. The X-ray powder pattern is computed, not measured: it uses a cell relaxed with PBE and λ = 1.5418 Å (Cu Kα).
Intensities are scaled so that the largest is 100.

The 6 most intense peaks (2θ = 5–70°), most intense first:
two_theta	intensity
21.7	100
27.9	54
28.6	51
32.9	44
12.3	43
46.8	41

Atomic structure:
Lattice parameters (Å, degrees): 8.7696 8.7696 8.7696 110.50 110.50 110.50
Positions (direct):
Pr 0.0336 0.1978 0.7686
Pr 0.1978 0.7686 0.0336
Pr 0.2639 0.6996 0.5463
Pr 0.5463 0.2639 0.6996
Pr 0.6996 0.5463 0.2639
Pr 0.7686 0.0336 0.1978
Si 0.0949 0.9271 0.3408
Si 0.3408 0.0949 0.9271
Si 0.4319 0.5897 0.8493
Si 0.5897 0.8493 0.4319
Si 0.8493 0.4319 0.5897
Si 0.9271 0.3408 0.0949
H 0.0375 0.8229 0.7383
H 0.2365 0.3000 0.5481
H 0.3000 0.5481 0.2365
H 0.5481 0.2365 0.3000
H 0.7383 0.0375 0.8229
H 0.8229 0.7383 0.0375
O 0.0063 0.6234 0.6160
O 0.0178 0.7348 0.3487
O 0.0803 0.1008 0.4705
O 0.1008 0.4705 0.0803
O 0.1087 0.9570 0.8591
O 0.2373 0.5144 0.8536
O 0.3050 0.9954 0.3673
O 0.3487 0.0178 0.7348
O 0.3673 0.3050 0.9954
O 0.3705 0.4288 0.6284
O 0.4288 0.6284 0.3705
O 0.4705 0.0803 0.1008
O 0.4923 0.7923 0.8586
O 0.5144 0.8536 0.2373
O 0.6160 0.0063 0.6234
O 0.6234 0.6160 0.0063
O 0.6284 0.3705 0.4288
O 0.7348 0.3487 0.0178
O 0.7923 0.8586 0.4923
O 0.8536 0.2373 0.5144
O 0.8591 0.1087 0.9570
O 0.8586 0.4923 0.7923
O 0.9570 0.8591 0.1087
O 0.9954 0.3673 0.3050